No. 1
Starting from a crystal structure in Alexandria, relaxed with GGA-PBE, the PXRD pattern of Pa2Ge2Ru4C was computed for copper Kα.
Neutral-atom scattering factors, no anomalous dispersion.

Cell and atoms:
```
data_Pa2Ge2Ru4C
_chemical_formula_sum 'Pa4 Ge4 Ru8 C2'
_cell_length_a 5.9920
_cell_length_b 5.9920
_cell_length_c 8.2402
_cell_angle_alpha 90.00
_cell_angle_beta 90.00
_cell_angle_gamma 90.00
_space_group_name_H-M_alt 'I 4/m m m'
_space_group_IT_number 139
_space_group_name_Hall '-I 4 2'
loop_
_atom_site_label
_atom_site_type_symbol
_atom_site_fract_x
_atom_site_fract_y
_atom_site_fract_z
Pa1 Pa 0.0000 0.0000 0.2220
Ge1 Ge 0.0000 0.5000 0.2500
Ru1 Ru 0.2482 0.2482 0.0000
C1 C 0.0000 0.0000 0.5000
```

Largest 10 diffraction maxima, low angle first, 10° ≤ 2θ ≤ 90°:
hkl 1 1 0, 20.97°, 4.237 Å, rel. 21.0
hkl 1 1 2, 30.26°, 2.954 Å, rel. 12.1
hkl 2 0 2, 37.10°, 2.423 Å, rel. 100.0
hkl 2 2 0, 42.68°, 2.118 Å, rel. 37.2
hkl 0 0 4, 43.95°, 2.060 Å, rel. 13.7
hkl 4 0 0, 61.95°, 1.498 Å, rel. 12.3
hkl 2 2 4, 62.93°, 1.477 Å, rel. 18.7
hkl 4 2 2, 74.46°, 1.274 Å, rel. 26.2
hkl 2 0 6, 76.27°, 1.248 Å, rel. 7.6
hkl 4 0 4, 79.03°, 1.212 Å, rel. 9.7

=====

No. 2
Starting from a crystal structure in Alexandria, relaxed with GGA-PBE, the PXRD pattern of ErZn12Ga4 was computed for copper Kα.
Neutral-atom scattering factors, no anomalous dispersion.

Cell and atoms:
```
data_ErZn12Ga4
_chemical_formula_sum 'Er2 Zn24 Ga8'
_cell_length_a 8.7390
_cell_length_b 8.7390
_cell_length_c 8.7390
_cell_angle_alpha 90.00
_cell_angle_beta 90.00
_cell_angle_gamma 90.00
_space_group_name_H-M_alt 'I m -3'
_space_group_IT_number 204
_space_group_name_Hall '-I 2 2 3'
loop_
_atom_site_label
_atom_site_type_symbol
_atom_site_fract_x
_atom_site_fract_y
_atom_site_fract_z
Er1 Er 0.0000 0.0000 0.0000
Zn1 Zn 0.0000 0.3524 0.1468
Ga1 Ga 0.2500 0.2500 0.2500
```

Largest 10 diffraction maxima, low angle first, 10° ≤ 2θ ≤ 90°:
hkl 2 2 0, 28.90°, 3.090 Å, rel. 23.4
hkl 3 0 1, 32.40°, 2.764 Å, rel. 100.0
hkl 3 1 2, 38.55°, 2.336 Å, rel. 50.2
hkl 4 2 0, 46.47°, 1.954 Å, rel. 17.5
hkl 4 2 2, 51.21°, 1.784 Å, rel. 33.9
hkl 4 3 1, 53.46°, 1.714 Å, rel. 43.8
hkl 6 0 2, 67.82°, 1.382 Å, rel. 10.8
hkl 6 1 3, 73.50°, 1.288 Å, rel. 12.2
hkl 4 4 4, 75.35°, 1.261 Å, rel. 10.4
hkl 7 2 3, 87.99°, 1.110 Å, rel. 9.6

=====

No. 3
Starting from a crystal structure in Alexandria, relaxed with GGA-PBE, the PXRD pattern of Pr4Sm4Y3 was computed for copper Kα.
Neutral-atom scattering factors, no anomalous dispersion.

Cell and atoms:
```
data_Pr4Sm4Y3
_chemical_formula_sum 'Pr4 Sm4 Y3'
_cell_length_a 3.5982
_cell_length_b 5.7484
_cell_length_c 18.5095
_cell_angle_alpha 81.13
_cell_angle_beta 84.43
_cell_angle_gamma 90.00
_space_group_name_H-M_alt 'P -1'
_space_group_IT_number 2
loop_
_space_group_symop_operation_xyz
'x,y,z'
'-x,-y,-z'
loop_
_atom_site_label
_atom_site_type_symbol
_atom_site_fract_x
_atom_site_fract_y
_atom_site_fract_z
Pr1 Pr 0.0459 0.0478 0.4076
Pr2 Pr 0.1797 0.6805 0.1397
Sm1 Sm 0.0903 0.5920 0.3186
Sm2 Sm 0.2331 0.2330 0.0341
Y1 Y 0.3641 0.8630 0.7729
Y2 Y 0.5000 0.5000 0.5000
```

Largest 10 diffraction maxima, low angle first, 10° ≤ 2θ ≤ 90°:
hkl 1 0 0, 24.87°, 3.581 Å, rel. 12.6
hkl 1 0 4, 30.20°, 2.959 Å, rel. 23.7
hkl -1 1 2, 30.92°, 2.892 Å, rel. 54.3
hkl 0 2 1, 31.16°, 2.870 Å, rel. 100.0
hkl 1 -1 5, 38.51°, 2.338 Å, rel. 11.2
hkl 1 -2 3, 43.92°, 2.062 Å, rel. 16.9
hkl 1 0 -7, 45.06°, 2.012 Å, rel. 10.4
hkl 0 3 7, 55.41°, 1.658 Å, rel. 13.2
hkl -1 2 8, 55.78°, 1.648 Å, rel. 11.1
hkl 2 2 2, 60.75°, 1.525 Å, rel. 20.3

=====

No. 4
Starting from a crystal structure in Alexandria, relaxed with GGA-PBE, the PXRD pattern of La5Co3 was computed for copper Kα.
Neutral-atom scattering factors, no anomalous dispersion.

Cell and atoms:
```
data_La5Co3
_chemical_formula_sum 'La20 Co12'
_cell_length_a 7.9030
_cell_length_b 7.9030
_cell_length_c 12.8387
_cell_angle_alpha 90.00
_cell_angle_beta 90.00
_cell_angle_gamma 90.00
_space_group_name_H-M_alt 'P 4/n c c'
_space_group_IT_number 130
loop_
_space_group_symop_operation_xyz
'x,y,z'
'-x,-y,-z'
'-y+1/2,x,z'
'y+1/2,-x,-z'
'-x+1/2,-y+1/2,z'
'x+1/2,y+1/2,-z'
'y,-x+1/2,z'
'-y,x+1/2,-z'
'x+1/2,-y,-z+1/2'
'-x+1/2,y,z+1/2'
'-y,-x,-z+1/2'
'y,x,z+1/2'
'-x,y+1/2,-z+1/2'
'x,-y+1/2,z+1/2'
'y+1/2,x+1/2,-z+1/2'
'-y+1/2,-x+1/2,z+1/2'
loop_
_atom_site_label
_atom_site_type_symbol
_atom_site_fract_x
_atom_site_fract_y
_atom_site_fract_z
La1 La 0.0535 0.6175 0.1131
La2 La 0.2500 0.2500 0.1861
Co1 Co 0.1281 0.6281 0.7500
Co2 Co 0.2500 0.2500 0.4853
```

Largest 10 diffraction maxima, low angle first, 10° ≤ 2θ ≤ 90°:
hkl 2 1 1, 26.15°, 3.408 Å, rel. 28.3
hkl 0 0 4, 27.80°, 3.210 Å, rel. 13.5
hkl 2 1 2, 28.84°, 3.096 Å, rel. 40.7
hkl 1 0 4, 30.05°, 2.974 Å, rel. 13.1
hkl 2 1 3, 32.87°, 2.725 Å, rel. 100.0
hkl 3 1 0, 35.93°, 2.499 Å, rel. 55.1
hkl 2 0 4, 36.05°, 2.491 Å, rel. 19.0
hkl 3 1 1, 36.63°, 2.453 Å, rel. 17.5
hkl 2 1 5, 43.57°, 2.077 Å, rel. 16.4
hkl 5 0 2, 60.30°, 1.535 Å, rel. 27.0

=====

No. 5
Starting from a crystal structure in Alexandria, relaxed with GGA-PBE, the PXRD pattern of K3Ta2Ag3S8 was computed for copper Kα.
Neutral-atom scattering factors, no anomalous dispersion.

Cell and atoms:
```
data_K3Ta2Ag3S8
_chemical_formula_sum 'K12 Ta8 Ag12 S32'
_cell_length_a 25.0686
_cell_length_b 6.0182
_cell_length_c 13.9519
_cell_angle_alpha 90.00
_cell_angle_beta 117.66
_cell_angle_gamma 90.00
_space_group_name_H-M_alt 'C 1 2/c 1'
_space_group_IT_number 15
loop_
_space_group_symop_operation_xyz
'x,y,z'
'-x,-y,-z'
'-x,y,-z+1/2'
'x,-y,z+1/2'
'x+1/2,y+1/2,z'
'-x+1/2,-y+1/2,-z'
'-x+1/2,y+1/2,-z+1/2'
'x+1/2,-y+1/2,z+1/2'
loop_
_atom_site_label
_atom_site_type_symbol
_atom_site_fract_x
_atom_site_fract_y
_atom_site_fract_z
K1 K 0.0000 0.0000 0.0000
K2 K 0.1993 0.3829 0.1100
Ta1 Ta 0.1270 0.3234 0.7799
Ag1 Ag 0.0000 0.3348 0.7500
Ag2 Ag 0.1280 0.1755 0.2910
S1 S 0.0505 0.4562 0.1540
S2 S 0.0946 0.1185 0.8849
S3 S 0.1589 0.1003 0.6831
S4 S 0.2079 0.4683 0.3939
```

Largest 10 diffraction maxima, low angle first, 10° ≤ 2θ ≤ 90°:
hkl 2 0 -2, 12.76°, 6.938 Å, rel. 26.1
hkl 0 0 2, 14.33°, 6.179 Å, rel. 100.0
hkl 4 0 -2, 15.75°, 5.627 Å, rel. 42.7
hkl 4 0 0, 16.00°, 5.540 Å, rel. 62.2
hkl 2 0 -4, 26.10°, 3.415 Å, rel. 34.0
hkl 8 0 -4, 31.81°, 2.813 Å, rel. 16.7
hkl 0 2 2, 33.12°, 2.705 Å, rel. 12.1
hkl 2 2 -3, 35.60°, 2.522 Å, rel. 13.8
hkl 0 2 3, 37.00°, 2.430 Å, rel. 18.6
hkl 8 2 -1, 42.37°, 2.133 Å, rel. 17.8

=====

No. 6
Starting from a crystal structure in Alexandria, relaxed with GGA-PBE, the PXRD pattern of Ba2Li9Mg6 was computed for copper Kα.
Neutral-atom scattering factors, no anomalous dispersion.

Cell and atoms:
```
data_Ba2Li9Mg6
_chemical_formula_sum 'Ba2 Li9 Mg6'
_cell_length_a 6.1619
_cell_length_b 6.1619
_cell_length_c 15.0777
_cell_angle_alpha 90.00
_cell_angle_beta 90.00
_cell_angle_gamma 120.00
_space_group_name_H-M_alt 'P 6/m m m'
_space_group_IT_number 191
_space_group_name_Hall '-P 6 2'
loop_
_atom_site_label
_atom_site_type_symbol
_atom_site_fract_x
_atom_site_fract_y
_atom_site_fract_z
Ba1 Ba 0.0000 0.0000 0.1749
Li1 Li 0.0000 0.5000 0.0000
Li2 Li 0.0000 0.5000 0.3349
Mg1 Mg 0.3333 0.6667 0.1666
Mg2 Mg 0.3333 0.6667 0.5000
```

Largest 10 diffraction maxima, low angle first, 10° ≤ 2θ ≤ 90°:
hkl 1 0 0, 16.61°, 5.336 Å, rel. 34.2
hkl 0 0 3, 17.64°, 5.028 Å, rel. 81.8
hkl 1 0 2, 20.39°, 4.356 Å, rel. 37.6
hkl 1 0 3, 24.33°, 3.659 Å, rel. 39.8
hkl 1 1 0, 28.98°, 3.081 Å, rel. 58.2
hkl 1 1 3, 34.14°, 2.627 Å, rel. 100.0
hkl 0 0 6, 35.72°, 2.514 Å, rel. 21.8
hkl 1 1 6, 46.64°, 1.948 Å, rel. 34.9
hkl 3 0 3, 54.75°, 1.677 Å, rel. 29.7
hkl 1 1 9, 63.15°, 1.472 Å, rel. 23.1

=====

No. 7
Starting from a crystal structure in Alexandria, relaxed with GGA-PBE, the PXRD pattern of Nd3Zr was computed for copper Kα.
Neutral-atom scattering factors, no anomalous dispersion.

Cell and atoms:
```
data_Nd3Zr
_chemical_formula_sum 'Nd6 Zr2'
_cell_length_a 5.0197
_cell_length_b 5.0197
_cell_length_c 9.9526
_cell_angle_alpha 90.00
_cell_angle_beta 90.00
_cell_angle_gamma 90.00
_space_group_name_H-M_alt 'I 4/m m m'
_space_group_IT_number 139
_space_group_name_Hall '-I 4 2'
loop_
_atom_site_label
_atom_site_type_symbol
_atom_site_fract_x
_atom_site_fract_y
_atom_site_fract_z
Nd1 Nd 0.0000 0.0000 0.0000
Nd2 Nd 0.0000 0.5000 0.2500
Zr1 Zr 0.0000 0.0000 0.5000
```

Largest 10 diffraction maxima, low angle first, 10° ≤ 2θ ≤ 90°:
hkl 1 1 2, 30.95°, 2.890 Å, rel. 100.0
hkl 2 0 0, 35.78°, 2.510 Å, rel. 33.9
hkl 0 0 4, 36.10°, 2.488 Å, rel. 16.5
hkl 2 2 0, 51.49°, 1.775 Å, rel. 11.9
hkl 2 0 4, 51.73°, 1.767 Å, rel. 23.5
hkl 3 1 2, 61.30°, 1.512 Å, rel. 28.1
hkl 1 1 6, 61.73°, 1.503 Å, rel. 13.8
hkl 2 2 4, 64.49°, 1.445 Å, rel. 12.0
hkl 3 3 2, 84.09°, 1.151 Å, rel. 5.8
hkl 3 1 6, 84.48°, 1.147 Å, rel. 11.5

=====

No. 8
Starting from a crystal structure in Alexandria, relaxed with GGA-PBE, the PXRD pattern of ThAlGaPd was computed for copper Kα.
Neutral-atom scattering factors, no anomalous dispersion.

Cell and atoms:
```
data_ThAlGaPd
_chemical_formula_sum 'Th3 Al3 Ga3 Pd3'
_cell_length_a 4.2897
_cell_length_b 4.2897
_cell_length_c 15.7653
_cell_angle_alpha 90.00
_cell_angle_beta 90.00
_cell_angle_gamma 120.00
_space_group_name_H-M_alt 'R 3 m'
_space_group_IT_number 160
_space_group_name_Hall 'R 3 -2"'
loop_
_atom_site_label
_atom_site_type_symbol
_atom_site_fract_x
_atom_site_fract_y
_atom_site_fract_z
Th1 Th 0.0000 0.0000 0.0000
Al1 Al 0.0000 0.0000 0.2079
Ga1 Ga 0.0000 0.0000 0.7869
Pd1 Pd 0.0000 0.0000 0.5029
```

Largest 10 diffraction maxima, low angle first, 10° ≤ 2θ ≤ 90°:
hkl 1 0 1, 24.62°, 3.616 Å, rel. 28.9
hkl 0 1 2, 26.52°, 3.360 Å, rel. 67.6
hkl 1 0 4, 33.14°, 2.703 Å, rel. 100.0
hkl 0 0 6, 34.12°, 2.628 Å, rel. 20.6
hkl 0 1 5, 37.41°, 2.404 Å, rel. 21.2
hkl 1 1 0, 42.13°, 2.145 Å, rel. 63.2
hkl 0 1 8, 52.57°, 1.741 Å, rel. 16.5
hkl 0 2 4, 54.62°, 1.680 Å, rel. 24.3
hkl 1 1 6, 55.29°, 1.662 Å, rel. 31.7
hkl 2 1 4, 71.30°, 1.323 Å, rel. 21.9

=====

No. 9
Starting from a crystal structure in Alexandria, relaxed with GGA-PBE, the PXRD pattern of Ca3In6Ag5 was computed for copper Kα.
Neutral-atom scattering factors, no anomalous dispersion.

Cell and atoms:
```
data_Ca3In6Ag5
_chemical_formula_sum 'Ca6 In12 Ag10'
_cell_length_a 4.6324
_cell_length_b 13.7541
_cell_length_c 10.5336
_cell_angle_alpha 90.00
_cell_angle_beta 90.00
_cell_angle_gamma 90.00
_space_group_name_H-M_alt 'P m m n'
_space_group_IT_number 59
loop_
_space_group_symop_operation_xyz
'x,y,z'
'-x,-y,-z'
'-x+1/2,-y+1/2,z'
'x+1/2,y+1/2,-z'
'x+1/2,-y,-z'
'-x+1/2,y,z'
'-x,y+1/2,-z'
'x,-y+1/2,z'
loop_
_atom_site_label
_atom_site_type_symbol
_atom_site_fract_x
_atom_site_fract_y
_atom_site_fract_z
Ca1 Ca 0.2500 0.0484 0.2445
Ca2 Ca 0.2500 0.7500 0.2594
In1 In 0.2500 0.0720 0.5850
In2 In 0.2500 0.2500 0.0350
In3 In 0.2500 0.2500 0.4021
In4 In 0.2500 0.5944 0.9843
Ag1 Ag 0.2500 0.0964 0.8492
Ag2 Ag 0.2500 0.6375 0.5474
Ag3 Ag 0.2500 0.7500 0.7887
```

Largest 10 diffraction maxima, low angle first, 10° ≤ 2θ ≤ 90°:
hkl 0 0 2, 16.83°, 5.267 Å, rel. 41.6
hkl 1 0 1, 20.95°, 4.241 Å, rel. 28.2
hkl 0 3 1, 21.13°, 4.204 Å, rel. 38.4
hkl 1 3 2, 32.31°, 2.771 Å, rel. 100.0
hkl 1 2 3, 34.61°, 2.592 Å, rel. 44.0
hkl 1 3 3, 37.66°, 2.389 Å, rel. 48.4
hkl 2 0 0, 38.88°, 2.316 Å, rel. 71.7
hkl 0 6 0, 39.33°, 2.291 Å, rel. 53.8
hkl 1 1 4, 39.92°, 2.258 Å, rel. 26.2
hkl 1 4 3, 41.61°, 2.170 Å, rel. 33.0

=====

No. 10
Starting from a crystal structure in Alexandria, relaxed with GGA-PBE, the PXRD pattern of Ho12Er5Al2 was computed for copper Kα.
Neutral-atom scattering factors, no anomalous dispersion.

Cell and atoms:
```
data_Ho12Er5Al2
_chemical_formula_sum 'Ho24 Er10 Al4'
_cell_length_a 14.9920
_cell_length_b 9.2379
_cell_length_c 8.1777
_cell_angle_alpha 90.00
_cell_angle_beta 92.39
_cell_angle_gamma 90.00
_space_group_name_H-M_alt 'C 1 2/m 1'
_space_group_IT_number 12
loop_
_space_group_symop_operation_xyz
'x,y,z'
'-x,-y,-z'
'-x,y,-z'
'x,-y,z'
'x+1/2,y+1/2,z'
'-x+1/2,-y+1/2,-z'
'-x+1/2,y+1/2,-z'
'x+1/2,-y+1/2,z'
loop_
_atom_site_label
_atom_site_type_symbol
_atom_site_fract_x
_atom_site_fract_y
_atom_site_fract_z
Ho1 Ho 0.0531 0.0000 0.3212
Ho2 Ho 0.0794 0.5000 0.8790
Ho3 Ho 0.1258 0.1964 0.6707
Ho4 Ho 0.1440 0.3140 0.2281
Er1 Er 0.0000 0.5000 0.5000
Er2 Er 0.1890 0.0000 0.0128
Er3 Er 0.2326 0.5000 0.5740
Al1 Al 0.0000 0.1713 0.0000
```

Largest 10 diffraction maxima, low angle first, 10° ≤ 2θ ≤ 90°:
hkl 0 2 2, 29.18°, 3.060 Å, rel. 51.8
hkl 3 1 2, 30.42°, 2.938 Å, rel. 37.4
hkl 4 2 0, 30.74°, 2.909 Å, rel. 54.7
hkl 2 2 -2, 31.23°, 2.864 Å, rel. 63.8
hkl 1 3 -1, 31.53°, 2.837 Å, rel. 55.7
hkl 5 1 -1, 32.87°, 2.724 Å, rel. 100.0
hkl 4 0 2, 33.08°, 2.708 Å, rel. 88.4
hkl 1 1 -3, 34.61°, 2.592 Å, rel. 78.2
hkl 3 3 1, 36.22°, 2.480 Å, rel. 50.2
hkl 5 5 -1, 59.63°, 1.551 Å, rel. 36.7

=====

No. 11
Starting from a crystal structure in Alexandria, relaxed with GGA-PBE, the PXRD pattern of Cs2Ca3PrF12 was computed for copper Kα.
Neutral-atom scattering factors, no anomalous dispersion.

Cell and atoms:
```
data_Cs2Ca3PrF12
_chemical_formula_sum 'Cs6 Ca9 Pr3 F36'
_cell_length_a 8.2575
_cell_length_b 8.2575
_cell_length_c 21.0747
_cell_angle_alpha 90.00
_cell_angle_beta 90.00
_cell_angle_gamma 120.00
_space_group_name_H-M_alt 'R -3 m'
_space_group_IT_number 166
_space_group_name_Hall '-R 3 2"'
loop_
_atom_site_label
_atom_site_type_symbol
_atom_site_fract_x
_atom_site_fract_y
_atom_site_fract_z
Cs1 Cs 0.0000 0.0000 0.1028
Ca1 Ca 0.0000 0.5000 0.0000
Pr1 Pr 0.0000 0.0000 0.5000
F1 F 0.0563 0.5282 0.3557
F2 F 0.0678 0.5339 0.1048
```

Largest 10 diffraction maxima, low angle first, 10° ≤ 2θ ≤ 90°:
hkl 0 1 2, 14.97°, 5.917 Å, rel. 48.5
hkl 1 1 0, 21.52°, 4.129 Å, rel. 63.8
hkl 0 1 5, 24.52°, 3.631 Å, rel. 100.0
hkl 1 1 3, 25.02°, 3.560 Å, rel. 85.0
hkl 2 0 2, 26.32°, 3.386 Å, rel. 50.5
hkl 2 0 5, 32.85°, 2.727 Å, rel. 30.1
hkl 1 2 5, 39.61°, 2.275 Å, rel. 37.2
hkl 3 0 3, 39.94°, 2.257 Å, rel. 28.3
hkl 2 2 0, 43.86°, 2.064 Å, rel. 46.1
hkl 3 1 5, 50.88°, 1.795 Å, rel. 30.9